[1]
Structure and theoretical PXRD pattern of UO2F2 (the GGA-PBE geometry in the Materials Project; Cu Kα).
Intensities are scaled so that the largest is 100.

The 10 most intense peaks (2θ from 15° to 90°), by angle:
- hkl 0 0 3, 15.73 deg, d = 5.634 Å, I = 100
- hkl 1 0 1, 24.78 deg, d = 3.593 Å, I = 88
- hkl 0 1 2, 26.44 deg, d = 3.372 Å, I = 66
- hkl 0 0 6, 31.76 deg, d = 2.817 Å, I = 17
- hkl 1 0 4, 32.27 deg, d = 2.774 Å, I = 25
- hkl 0 1 5, 36.09 deg, d = 2.489 Å, I = 21
- hkl 1 1 0, 42.59 deg, d = 2.123 Å, I = 35
- hkl 1 1 3, 45.67 deg, d = 1.987 Å, I = 41
- hkl 1 1 6, 54.09 deg, d = 1.695 Å, I = 24
- hkl 1 1 9, 66.47 deg, d = 1.407 Å, I = 17

Structure:
Unit cell a=4.246 b=4.246 c=16.902 alpha=90.00 beta=90.00 gamma=120.00
Sites, in units of the cell vectors:
U 0.000 0.000 0.000
U 0.333 0.667 0.667
U 0.667 0.333 0.333
O 0.000 0.000 0.105
O 0.000 0.000 0.895
O 0.333 0.667 0.561
O 0.333 0.667 0.772
O 0.667 0.333 0.228
O 0.667 0.333 0.439
F 0.000 0.000 0.339
F 0.000 0.000 0.661
F 0.333 0.667 0.006
F 0.333 0.667 0.327
F 0.667 0.333 0.673
F 0.667 0.333 0.994

[2]
Structure and theoretical PXRD pattern of Ca3SbP (the GGA-PBE geometry in the Materials Project; Cu Kα).
Intensities are scaled so that the largest is 100.

The 10 most intense peaks (2θ from 15° to 90°), by angle:
- hkl 1 1 0, 23.34 deg, d = 3.811 Å, I = 64
- hkl 1 1 1, 28.69 deg, d = 3.112 Å, I = 100
- hkl 2 0 0, 33.24 deg, d = 2.695 Å, I = 83
- hkl 2 1 1, 41.02 deg, d = 2.200 Å, I = 28
- hkl 2 2 0, 47.73 deg, d = 1.906 Å, I = 57
- hkl 3 1 1, 56.64 deg, d = 1.625 Å, I = 40
- hkl 2 2 2, 59.40 deg, d = 1.556 Å, I = 19
- hkl 3 3 1, 77.14 deg, d = 1.237 Å, I = 15
- hkl 4 2 0, 79.53 deg, d = 1.205 Å, I = 23
- hkl 4 2 2, 88.96 deg, d = 1.100 Å, I = 18

Structure:
Unit cell a=5.390 b=5.390 c=5.390 alpha=90.00 beta=90.00 gamma=90.00
Sites, in units of the cell vectors:
Ca 0.000 0.000 0.500
Ca 0.000 0.500 0.000
Ca 0.500 0.000 0.000
Sb 0.500 0.500 0.500
P 0.000 0.000 0.000

[3]
Structure and theoretical PXRD pattern of Er3Ru2 (the GGA-PBE geometry in the Materials Project; Cu Kα).
Intensities are scaled so that the largest is 100.

The 10 most intense peaks (2θ from 15° to 90°), by angle:
- hkl 1 1 1, 30.37 deg, d = 2.943 Å, I = 100
- hkl 2 0 1, 33.40 deg, d = 2.683 Å, I = 51
- hkl 2 1 0, 36.45 deg, d = 2.465 Å, I = 45
- hkl 0 0 2, 38.14 deg, d = 2.359 Å, I = 18
- hkl 1 0 2, 40.67 deg, d = 2.219 Å, I = 13
- hkl 1 2 1, 41.32 deg, d = 2.185 Å, I = 22
- hkl 3 0 0, 41.54 deg, d = 2.174 Å, I = 36
- hkl 1 2 2, 53.78 deg, d = 1.704 Å, I = 24
- hkl 1 1 3, 64.17 deg, d = 1.451 Å, I = 12
- hkl 3 2 1, 65.44 deg, d = 1.426 Å, I = 24

Structure:
Unit cell a=7.531 b=7.531 c=4.719 alpha=90.00 beta=90.00 gamma=120.00
Sites, in units of the cell vectors:
Er 0.079 0.695 0.250
Er 0.305 0.384 0.250
Er 0.384 0.079 0.750
Er 0.616 0.921 0.250
Er 0.695 0.616 0.750
Er 0.921 0.305 0.750
Ru 0.000 0.000 0.000
Ru 0.000 0.000 0.500
Ru 0.333 0.667 0.750
Ru 0.667 0.333 0.250

[4]
Structure and theoretical PXRD pattern of SmS (the GGA-PBE geometry in the Materials Project; Cu Kα).
Intensities are scaled so that the largest is 100.

The 10 most intense peaks (2θ from 15° to 90°), by angle:
- hkl 1 1 1, 27.24 deg, d = 3.274 Å, I = 77
- hkl 2 0 0, 31.55 deg, d = 2.835 Å, I = 100
- hkl 2 2 0, 45.23 deg, d = 2.005 Å, I = 72
- hkl 3 1 1, 53.60 deg, d = 1.710 Å, I = 38
- hkl 2 2 2, 56.19 deg, d = 1.637 Å, I = 25
- hkl 4 0 0, 65.88 deg, d = 1.418 Å, I = 12
- hkl 3 3 1, 72.68 deg, d = 1.301 Å, I = 15
- hkl 4 2 0, 74.89 deg, d = 1.268 Å, I = 32
- hkl 4 2 2, 83.52 deg, d = 1.158 Å, I = 24
- hkl 5 1 1, 89.89 deg, d = 1.091 Å, I = 12

Structure:
Unit cell a=5.671 b=5.671 c=5.671 alpha=90.00 beta=90.00 gamma=90.00
Sites, in units of the cell vectors:
Sm 0.000 0.000 0.000
Sm 0.000 0.500 0.500
Sm 0.500 0.000 0.500
Sm 0.500 0.500 0.000
S 0.000 0.000 0.500
S 0.000 0.500 0.000
S 0.500 0.000 0.000
S 0.500 0.500 0.500

[5]
Structure and theoretical PXRD pattern of Lu2BeOs (the GGA-PBE geometry in the Materials Project; Cu Kα).
Intensities are scaled so that the largest is 100.

The 10 most intense peaks (2θ from 15° to 90°), by angle:
- hkl 1 1 1, 23.06 deg, d = 3.856 Å, I = 27
- hkl 2 0 0, 26.69 deg, d = 3.340 Å, I = 10
- hkl 2 2 0, 38.11 deg, d = 2.361 Å, I = 100
- hkl 3 1 1, 45.02 deg, d = 2.014 Å, I = 14
- hkl 4 0 0, 54.99 deg, d = 1.670 Å, I = 17
- hkl 3 3 1, 60.41 deg, d = 1.532 Å, I = 6
- hkl 4 2 2, 68.87 deg, d = 1.363 Å, I = 36
- hkl 5 1 1, 73.71 deg, d = 1.285 Å, I = 4
- hkl 4 4 0, 81.53 deg, d = 1.181 Å, I = 11
- hkl 5 3 1, 86.13 deg, d = 1.129 Å, I = 5

Structure:
Unit cell a=6.679 b=6.679 c=6.679 alpha=90.00 beta=90.00 gamma=90.00
Sites, in units of the cell vectors:
Lu 0.250 0.250 0.250
Lu 0.250 0.250 0.750
Lu 0.250 0.750 0.250
Lu 0.250 0.750 0.750
Lu 0.750 0.250 0.250
Lu 0.750 0.250 0.750
Lu 0.750 0.750 0.250
Lu 0.750 0.750 0.750
Be 0.000 0.000 0.000
Be 0.000 0.500 0.500
Be 0.500 0.000 0.500
Be 0.500 0.500 0.000
Os 0.000 0.000 0.500
Os 0.000 0.500 0.000
Os 0.500 0.000 0.000
Os 0.500 0.500 0.500

[6]
Structure and theoretical PXRD pattern of Nb4C3 (the GGA-PBE geometry in the Materials Project; Cu Kα).
Intensities are scaled so that the largest is 100.

The 6 most intense peaks (2θ from 15° to 90°), by angle:
- hkl 1 1 1, 34.76 deg, d = 2.581 Å, I = 100
- hkl 2 0 0, 40.35 deg, d = 2.235 Å, I = 68
- hkl 2 2 0, 58.38 deg, d = 1.581 Å, I = 44
- hkl 3 1 1, 69.77 deg, d = 1.348 Å, I = 39
- hkl 2 2 2, 73.36 deg, d = 1.291 Å, I = 14
- hkl 4 0 0, 87.22 deg, d = 1.118 Å, I = 7

Structure:
Unit cell a=4.471 b=4.471 c=4.471 alpha=90.00 beta=90.00 gamma=90.00
Sites, in units of the cell vectors:
Nb 0.000 0.000 0.000
Nb 0.000 0.500 0.500
Nb 0.500 0.000 0.500
Nb 0.500 0.500 0.000
C 0.000 0.000 0.500
C 0.000 0.500 0.000
C 0.500 0.000 0.000